Theoretical XRD peak list
Compound: Ti15Tl2Zn2
Radiation: copper Kα
Structure: a DFT-relaxed cell (GGA-PBE, Alexandria)

Principal peaks in the range 15° ≤ 2θ ≤ 90°, most intense first:
| d (Å) | Rel. int. |
| --- | --- |
| 2.302 | 100 |
| 2.341 | 65 |
| 2.263 | 61 |
| 3.313 | 57 |
| 2.613 | 55 |
| 2.745 | 37 |
| 4.525 | 35 |
| 2.079 | 27 |
| 5.340 | 27 |
| 2.735 | 26 |

Cell and atoms:
a = 9.0501 Å, b = 9.0501 Å, c = 14.5912 Å
α = 90.00°, β = 90.00°, γ = 120.00°
Space group R-3m (No. 166, hexagonal axes)
Asymmetric unit:
1 Ti 0.0000 0.2978 0.0000 [18 per cell]
2 Ti 0.0000 0.5000 0.5000 [9 per cell]
3 Ti 0.0242 0.5121 0.1379 [18 per cell]
4 Tl 0.0000 0.0000 0.3117 [6 per cell]
5 Zn 0.0000 0.0000 0.0899 [6 per cell]

Theoretical XRD peak list
Compound: Zr2TiTl
Radiation: copper Kα
Structure: a DFT-relaxed cell (GGA-PBE, Alexandria)

Principal peaks in the range 15° ≤ 2θ ≤ 90°, most intense first:
| d (Å) | Rel. int. |
| --- | --- |
| 2.536 | 100 |
| 2.200 | 33 |
| 1.326 | 25 |
| 4.401 | 24 |
| 3.104 | 22 |
| 1.552 | 22 |
| 2.189 | 16 |
| 1.321 | 13 |
| 1.556 | 11 |
| 1.268 | 11 |

Cell and atoms:
a = 4.4007 Å, b = 4.4007 Å, c = 4.3780 Å
α = 90.00°, β = 90.00°, γ = 90.00°
Space group P4/mmm (No. 123)
Asymmetric unit:
1 Zr 0.0000 0.5000 0.0000 [2 per cell]
2 Ti 0.0000 0.0000 0.5000 [1 per cell]
3 Tl 0.5000 0.5000 0.5000 [1 per cell]

Theoretical XRD peak list
Compound: Zr2TiTl
Radiation: copper Kα
Structure: a DFT-relaxed cell (GGA-PBE, Alexandria)

Principal peaks in the range 15° ≤ 2θ ≤ 90°, most intense first:
| d (Å) | Rel. int. |
| --- | --- |
| 2.484 | 100 |
| 1.434 | 35 |
| 4.057 | 28 |
| 1.757 | 17 |
| 2.119 | 16 |
| 1.111 | 16 |
| 1.242 | 11 |
| 1.612 | 7 |
| 1.188 | 5 |
| 1.352 | 5 |

Cell and atoms:
a = 7.0272 Å, b = 7.0272 Å, c = 7.0272 Å
α = 90.00°, β = 90.00°, γ = 90.00°
Space group Fm-3m (No. 225)
Asymmetric unit:
1 Zr 0.2500 0.2500 0.2500 [8 per cell]
2 Ti 0.0000 0.0000 0.0000 [4 per cell]
3 Tl 0.0000 0.0000 0.5000 [4 per cell]

Theoretical XRD peak list
Compound: Zr5TiTl3
Radiation: copper Kα
Structure: a DFT-relaxed cell (GGA-PBE, Alexandria)

Principal peaks in the range 15° ≤ 2θ ≤ 90°, most intense first:
| d (Å) | Rel. int. |
| --- | --- |
| 2.536 | 100 |
| 2.483 | 69 |
| 1.939 | 31 |
| 3.548 | 29 |
| 1.454 | 25 |
| 1.774 | 25 |
| 1.294 | 24 |
| 1.464 | 18 |
| 3.010 | 18 |
| 4.392 | 13 |

Cell and atoms:
a = 8.7845 Å, b = 8.7845 Å, c = 6.0205 Å
α = 90.00°, β = 90.00°, γ = 120.00°
Space group P6_3/mcm (No. 193)
Asymmetric unit:
1 Zr 0.0000 0.3351 0.2500 [6 per cell]
2 Zr 0.3333 0.6667 0.0000 [4 per cell]
3 Ti 0.0000 0.0000 0.0000 [2 per cell]
4 Tl 0.0000 0.3286 0.7500 [6 per cell]

Theoretical XRD peak list
Compound: TmTi6
Radiation: copper Kα
Structure: a DFT-relaxed cell (GGA-PBE, Alexandria)

Principal peaks in the range 15° ≤ 2θ ≤ 90°, most intense first:
| d (Å) | Rel. int. |
| --- | --- |
| 2.821 | 100 |
| 1.847 | 56 |
| 3.455 | 43 |
| 1.121 | 16 |
| 1.727 | 16 |
| 1.545 | 15 |
| 1.262 | 15 |
| 1.473 | 13 |
| 4.886 | 13 |
| 1.221 | 10 |

Cell and atoms:
a = 6.9096 Å, b = 6.9096 Å, c = 6.9096 Å
α = 90.00°, β = 90.00°, γ = 90.00°
Space group Im-3m (No. 229)
Asymmetric unit:
1 Tm 0.0000 0.0000 0.0000 [2 per cell]
2 Ti 0.0000 0.2500 0.5000 [12 per cell]

Theoretical XRD peak list
Compound: TmTiW
Radiation: copper Kα
Structure: a DFT-relaxed cell (GGA-PBE, Alexandria)

Principal peaks in the range 15° ≤ 2θ ≤ 90°, most intense first:
| d (Å) | Rel. int. |
| --- | --- |
| 2.393 | 100 |
| 2.244 | 45 |
| 3.149 | 38 |
| 1.322 | 31 |
| 4.251 | 22 |
| 1.587 | 15 |
| 1.414 | 15 |
| 1.984 | 12 |
| 1.417 | 9 |
| 3.188 | 9 |

Cell and atoms:
a = 3.1731 Å, b = 3.1731 Å, c = 25.5032 Å
α = 90.00°, β = 90.00°, γ = 90.00°
Space group I4/mmm (No. 139)
Asymmetric unit:
1 Tm 0.0000 0.0000 0.0673 [4 per cell]
2 Ti 0.0000 0.0000 0.3432 [4 per cell]
3 W 0.0000 0.0000 0.2198 [4 per cell]

Theoretical XRD peak list
Compound: YTmTi
Radiation: copper Kα
Structure: a DFT-relaxed cell (GGA-PBE, Alexandria)

Principal peaks in the range 15° ≤ 2θ ≤ 90°, most intense first:
| d (Å) | Rel. int. |
| --- | --- |
| 2.718 | 100 |
| 3.098 | 71 |
| 2.511 | 58 |
| 1.487 | 31 |
| 1.783 | 31 |
| 2.533 | 22 |
| 1.776 | 20 |
| 1.540 | 18 |
| 1.454 | 16 |
| 1.446 | 15 |

Cell and atoms:
a = 3.5513 Å, b = 3.5513 Å, c = 12.6666 Å
α = 90.00°, β = 90.00°, γ = 90.00°
Space group P4/nmm (No. 129, origin choice 2)
Asymmetric unit:
1 Y 0.2500 0.2500 0.2016 [2 per cell]
2 Tm 0.2500 0.2500 0.5923 [2 per cell]
3 Ti 0.2500 0.2500 0.9574 [2 per cell]

Theoretical XRD peak list
Compound: TmTi2Zn6
Radiation: copper Kα
Structure: a DFT-relaxed cell (GGA-PBE, Alexandria)

Principal peaks in the range 15° ≤ 2θ ≤ 90°, most intense first:
| d (Å) | Rel. int. |
| --- | --- |
| 2.365 | 100 |
| 2.184 | 84 |
| 1.605 | 29 |
| 1.293 | 27 |
| 1.245 | 24 |
| 5.316 | 20 |
| 3.735 | 14 |
| 1.261 | 13 |
| 1.092 | 8 |
| 1.515 | 8 |

Cell and atoms:
a = 7.5666 Å, b = 7.5666 Å, c = 9.0929 Å
α = 90.00°, β = 90.00°, γ = 120.00°
Space group R-3m (No. 166, hexagonal axes)
Asymmetric unit:
1 Tm 0.0000 0.0000 0.0000 [3 per cell]
2 Ti 0.0000 0.0000 0.3489 [6 per cell]
3 Zn 0.0000 0.3317 0.5000 [18 per cell]

Theoretical XRD peak list
Compound: UTi4
Radiation: copper Kα
Structure: a DFT-relaxed cell (GGA-PBE, Alexandria)

Principal peaks in the range 15° ≤ 2θ ≤ 90°, most intense first:
| d (Å) | Rel. int. |
| --- | --- |
| 4.647 | 100 |
| 3.286 | 87 |
| 2.324 | 58 |
| 2.078 | 51 |
| 1.643 | 38 |
| 1.897 | 38 |
| 1.549 | 26 |
| 1.242 | 21 |
| 1.470 | 17 |
| 1.127 | 16 |

Cell and atoms:
a = 4.6470 Å, b = 4.6470 Å, c = 4.6470 Å
α = 90.00°, β = 90.00°, γ = 90.00°
Space group Pm-3m (No. 221)
Asymmetric unit:
1 U 0.0000 0.0000 0.0000 [1 per cell]
2 Ti 0.0000 0.0000 0.5000 [3 per cell]
3 Ti 0.5000 0.5000 0.5000 [1 per cell]

Theoretical XRD peak list
Compound: ZrU10Ti4
Radiation: copper Kα
Structure: a DFT-relaxed cell (GGA-PBE, Alexandria)

Principal peaks in the range 15° ≤ 2θ ≤ 90°, most intense first:
| d (Å) | Rel. int. |
| --- | --- |
| 2.454 | 100 |
| 1.859 | 54 |
| 2.401 | 50 |
| 2.847 | 48 |
| 1.836 | 28 |
| 2.178 | 25 |
| 1.231 | 24 |
| 2.645 | 21 |
| 1.396 | 20 |
| 1.254 | 16 |

Cell and atoms:
a = 4.8020 Å, b = 42.8353 Å, c = 2.8473 Å
α = 90.00°, β = 90.00°, γ = 90.00°
Space group Cmmm (No. 65)
Asymmetric unit:
1 Zr 0.0000 0.0000 0.0000 [2 per cell]
2 U 0.0000 0.0699 0.5000 [4 per cell]
3 U 0.0000 0.2014 0.5000 [4 per cell]
4 U 0.0000 0.2707 0.5000 [4 per cell]
5 U 0.0000 0.3983 0.5000 [4 per cell]
6 U 0.0000 0.4681 0.5000 [4 per cell]
7 Ti 0.0000 0.1356 0.0000 [4 per cell]
8 Ti 0.0000 0.3353 0.0000 [4 per cell]

Theoretical XRD peak list
Compound: Ti5V
Radiation: copper Kα
Structure: a DFT-relaxed cell (GGA-PBE, Alexandria)

Principal peaks in the range 15° ≤ 2θ ≤ 90°, most intense first:
| d (Å) | Rel. int. |
| --- | --- |
| 2.338 | 100 |
| 1.991 | 30 |
| 1.206 | 19 |
| 1.444 | 19 |
| 2.098 | 18 |
| 1.252 | 11 |
| 1.169 | 9 |
| 1.408 | 9 |

Cell and atoms:
a = 3.9838 Å, b = 11.9409 Å, c = 4.1950 Å
α = 90.00°, β = 90.00°, γ = 90.00°
Space group Cmmm (No. 65)
Asymmetric unit:
1 Ti 0.0000 0.0000 0.0000 [2 per cell]
2 Ti 0.0000 0.1629 0.5000 [4 per cell]
3 Ti 0.0000 0.3344 0.0000 [4 per cell]
4 V 0.0000 0.5000 0.5000 [2 per cell]

Theoretical XRD peak list
Compound: TiV4
Radiation: copper Kα
Structure: a DFT-relaxed cell (GGA-PBE, Alexandria)

Principal peaks in the range 15° ≤ 2θ ≤ 90°, most intense first:
| d (Å) | Rel. int. |
| --- | --- |
| 2.326 | 100 |
| 1.977 | 48 |
| 1.788 | 39 |
| 1.924 | 29 |
| 1.326 | 27 |
| 2.652 | 26 |
| 1.111 | 15 |
| 1.483 | 12 |
| 3.423 | 11 |
| 1.264 | 11 |

Cell and atoms:
a = 3.5751 Å, b = 3.5751 Å, c = 11.8636 Å
α = 90.00°, β = 90.00°, γ = 90.00°
Space group I4/mmm (No. 139)
Asymmetric unit:
1 Ti 0.0000 0.0000 0.0000 [2 per cell]
2 V 0.0000 0.0000 0.4016 [4 per cell]
3 V 0.0000 0.5000 0.2500 [4 per cell]